# ErUGa
Theoretical powder X-ray diffraction pattern, λ = 1.5418 Å (Cu Kα). Input: a structure optimized by DFT (PBE).

Peak list (10 most intense, 2θ = 15–90°, in order of falling intensity)
35.1°, intensity 100.0
34.6°, intensity 65.9
32.2°, intensity 52.6
37.7°, intensity 51.3
37.9°, intensity 36.2
50.3°, intensity 31.9
57.7°, intensity 28.7
70.5°, intensity 27.1
37.4°, intensity 27.0
54.5°, intensity 25.6

Cell: 9.208 9.208 4.778 Å, 90.00 90.00 160.41°
Fractional coordinates of all 6 atoms:
Er: 0.137 0.863 0.750
Er: 0.863 0.137 0.250
U: 0.471 0.529 0.750
U: 0.529 0.471 0.250
Ga: 0.303 0.697 0.750
Ga: 0.697 0.303 0.250